# 1
Diffraction record for MnTlF4. The X-ray diffraction stick pattern is calculated, not measured: it uses a crystal structure in the Materials Project, relaxed with GGA+U and Cu Ka.
Intensities are scaled so that the largest is 100.

Largest 8 diffraction maxima, in order of rising 2θ, 15 to 90 degrees two-theta:
2theta, I_rel
26.66, 100.0
26.80, 96.8
27.98, 42.7
32.13, 29.8
32.57, 32.3
46.40, 30.5
48.62, 32.2
54.07, 30.4

Crystal structure
a = 7.4635 Å, b = 7.4635 Å, c = 5.4992 Å
α = 111.19°, β = 111.19°, γ = 43.83°
Element x y z (fractional)
Mn 0.0000 0.5000 0.0000
Mn 0.5000 0.0000 0.5000
Tl 0.2353 0.7647 0.7500
Tl 0.7647 0.2353 0.2500
F 0.1452 0.2797 0.2441
F 0.2336 0.5486 0.1712
F 0.2797 0.1452 0.7441
F 0.4514 0.7664 0.3288
F 0.5486 0.2336 0.6712
F 0.7203 0.8548 0.2559
F 0.7664 0.4514 0.8288
F 0.8548 0.7203 0.7559

***

# 2
Diffraction record for YMnF5. The X-ray diffraction stick pattern is calculated, not measured: it uses a crystal structure in the Materials Project, relaxed with GGA+U and Cu Ka.
Intensities are scaled so that the largest is 100.

Largest 8 diffraction maxima, in order of rising 2θ, 15 to 90 degrees two-theta:
2theta, I_rel
21.24, 87.8
24.50, 100.0
25.33, 64.2
42.61, 27.7
43.26, 25.9
44.14, 34.1
50.34, 25.2
50.82, 21.7

Crystal structure
a = 5.8619 Å, b = 5.8619 Å, c = 5.8619 Å
α = 137.56°, β = 106.30°, γ = 88.94°
Element x y z (fractional)
Y 0.0000 0.0000 0.0000
Mn 0.5000 0.5000 0.0000
F 0.0000 0.5000 0.5000
F 0.2632 0.2632 0.0000
F 0.3124 0.0000 0.3124
F 0.6876 0.0000 0.6876
F 0.7368 0.7368 0.0000

***

# 3
Diffraction record for MnZnF4. The X-ray diffraction stick pattern is calculated, not measured: it uses a crystal structure in the Materials Project, relaxed with GGA+U and Cu Ka.
Intensities are scaled so that the largest is 100.

Largest 8 diffraction maxima, in order of rising 2θ, 15 to 90 degrees two-theta:
2theta, I_rel
29.32, 98.0
29.86, 100.0
48.89, 26.8
49.15, 93.0
50.29, 24.6
57.87, 13.9
58.35, 27.2
59.28, 23.8

Crystal structure
a = 6.3308 Å, b = 6.3308 Å, c = 5.2025 Å
α = 112.91°, β = 112.91°, γ = 49.38°
Element x y z (fractional)
Mn 0.2492 0.2492 0.2492
Mn 0.7508 0.7508 0.7508
Zn 0.0101 0.9899 0.5000
Zn 0.4898 0.5102 0.0000
F 0.0691 0.6859 0.1537
F 0.1803 0.5700 0.6469
F 0.3141 0.9309 0.8463
F 0.4300 0.8197 0.3531
F 0.5743 0.1730 0.0837
F 0.6743 0.0778 0.5851
F 0.8270 0.4257 0.9163
F 0.9222 0.3257 0.4149

***

# 4
Diffraction record for MnZn3F6. The X-ray diffraction stick pattern is calculated, not measured: it uses a crystal structure in the Materials Project, relaxed with GGA+U and Cu Ka.
Intensities are scaled so that the largest is 100.

Largest 8 diffraction maxima, in order of rising 2θ, 15 to 90 degrees two-theta:
2theta, I_rel
17.60, 61.2
23.01, 47.5
23.99, 100.0
24.09, 48.0
32.70, 36.4
36.24, 44.9
37.28, 37.8
38.98, 33.9

Crystal structure
a = 5.1184 Å, b = 5.4185 Å, c = 5.9063 Å
α = 68.04°, β = 86.35°, γ = 79.90°
Element x y z (fractional)
Mn 0.0000 0.0000 0.0000
Zn 0.0000 0.0000 0.5000
Zn 0.0000 0.5000 0.5000
Zn 0.5000 0.5000 0.0000
F 0.1851 0.3499 0.8618
F 0.2879 0.6304 0.2801
F 0.3255 0.8582 0.7974
F 0.6745 0.1418 0.2026
F 0.7121 0.3696 0.7199
F 0.8149 0.6501 0.1382

***

Repeat the fourth record exactly.
Diffraction record for MnZn3F6. The X-ray diffraction stick pattern is calculated, not measured: it uses a crystal structure in the Materials Project, relaxed with GGA+U and Cu Ka.
Intensities are scaled so that the largest is 100.

Largest 8 diffraction maxima, in order of rising 2θ, 15 to 90 degrees two-theta:
2theta, I_rel
17.60, 61.2
23.01, 47.5
23.99, 100.0
24.09, 48.0
32.70, 36.4
36.24, 44.9
37.28, 37.8
38.98, 33.9

Crystal structure
a = 5.1184 Å, b = 5.4185 Å, c = 5.9063 Å
α = 68.04°, β = 86.35°, γ = 79.90°
Element x y z (fractional)
Mn 0.0000 0.0000 0.0000
Zn 0.0000 0.0000 0.5000
Zn 0.0000 0.5000 0.5000
Zn 0.5000 0.5000 0.0000
F 0.1851 0.3499 0.8618
F 0.2879 0.6304 0.2801
F 0.3255 0.8582 0.7974
F 0.6745 0.1418 0.2026
F 0.7121 0.3696 0.7199
F 0.8149 0.6501 0.1382